Tb3Y2S4: simulated X-ray diffraction stick pattern (λ = 1.5418 Å (Cu Kα)), based on a DFT-relaxed cell (GGA-PBE, Alexandria).
Intensities are scaled so that the largest is 100.

Peak list (10 most intense, 2θ from 10° to 90°, in order of rising 2θ)
27.15 deg, intensity 26; 27.89 deg, intensity 22; 28.85 deg, intensity 42; 31.50 deg, intensity 100; 34.90 deg, intensity 20; 43.35 deg, intensity 22; 46.89 deg, intensity 39; 55.44 deg, intensity 21; 57.60 deg, intensity 23; 77.34 deg, intensity 29

Atomic structure:
```
data_Tb3Y2S4
_chemical_formula_sum 'Tb3 Y2 S4'
_cell_length_a 3.8754
_cell_length_b 3.8754
_cell_length_c 15.9941
_cell_angle_alpha 90.00
_cell_angle_beta 90.00
_cell_angle_gamma 120.00
_space_group_name_H-M_alt 'P -3 m 1'
_space_group_IT_number 164
_space_group_name_Hall '-P 3 2"'
loop_
_atom_site_label
_atom_site_fract_x
_atom_site_fract_y
_atom_site_fract_z
Tb1 0.0000 0.0000 0.0000
Tb2 0.3333 0.6667 0.5909
Y1 0.3333 0.6667 0.2054
S1 0.0000 0.0000 0.3052
S2 0.3333 0.6667 0.8973
```